Starting from a DFT-relaxed cell (GGA-PBE, Alexandria), the X-ray diffraction stick pattern of Ca3GeAs3 was simulated for λ = 1.5418 Å (Cu Kα).

a b c (Å): 18.6549 6.3826 12.2583
angles (deg): 90.00 90.00 90.00
Space group Cmce (No. 64)
Symmetry-distinct sites (fractional):
1 Ca 0.0000 0.1878 0.1427 [8 per cell]
2 Ca 0.1760 0.1844 0.8682 [16 per cell]
3 Ge 0.0885 0.0000 0.5000 [8 per cell]
4 As 0.0000 0.2273 0.3832 [8 per cell]
5 As 0.1643 0.2174 0.6244 [16 per cell]

Main lines, in order of rising 2θ (10° ≤ 2θ ≤ 90°):
d_spacing, Rel. int.
5.417, 47
3.603, 56
3.384, 21
3.191, 44
3.111, 81
3.065, 58
2.227, 84
2.211, 87
2.183, 100
1.802, 30
1.272, 24
1.262, 23

Starting from a DFT-relaxed cell (GGA-PBE, Alexandria), the X-ray diffraction stick pattern of Sm2YEr2 was simulated for λ = 1.5418 Å (Cu Kα).

a b c (Å): 3.6381 5.6798 31.5349
angles (deg): 90.00 90.00 90.00
Space group Imma (No. 74)
Symmetry-distinct sites (fractional):
1 Sm 0.0000 0.2500 0.0227 [4 per cell]
2 Sm 0.0000 0.2500 0.1222 [4 per cell]
3 Y 0.0000 0.2500 0.5810 [4 per cell]
4 Er 0.0000 0.2500 0.2909 [4 per cell]
5 Er 0.0000 0.2500 0.8034 [4 per cell]

Main lines, in order of rising 2θ (10° ≤ 2θ ≤ 90°):
d_spacing, Rel. int.
3.153, 23
2.982, 35
2.856, 100
2.840, 57
2.830, 19
2.647, 42
2.559, 20
2.419, 19
2.110, 15
1.819, 15
1.644, 32
1.532, 18

Starting from a DFT-relaxed cell (GGA-PBE, Alexandria), the X-ray diffraction stick pattern of AcTiSb2O8 was simulated for λ = 1.5418 Å (Cu Kα).

a b c (Å): 6.8063 7.2916 6.7731
angles (deg): 90.00 90.00 90.00
Space group Cmmm (No. 65)
Symmetry-distinct sites (fractional):
1 Ac 0.0000 0.0000 0.0000 [2 per cell]
2 Ti 0.0000 0.0000 0.5000 [2 per cell]
3 Sb 0.0000 0.5000 0.2656 [4 per cell]
4 O 0.0000 0.3065 0.5000 [4 per cell]
5 O 0.0000 0.3350 0.0000 [4 per cell]
6 O 0.1997 0.0000 0.2952 [8 per cell]

Main lines, in order of rising 2θ (10° ≤ 2θ ≤ 90°):
d_spacing, Rel. int.
6.773, 14
4.010, 39
3.646, 69
3.403, 55
2.800, 100
2.488, 30
1.896, 46
1.824, 47
1.489, 24
1.400, 11
1.314, 11
1.244, 13

Starting from a DFT-relaxed cell (GGA-PBE, Alexandria), the X-ray diffraction stick pattern of CaLaInPb was simulated for λ = 1.5418 Å (Cu Kα).

a b c (Å): 4.5954 5.1298 5.1759
angles (deg): 90.00 90.00 90.00
Space group Pmmm (No. 47)
Symmetry-distinct sites (fractional):
1 Ca 0.0000 0.0000 0.0000 [1 per cell]
2 La 0.0000 0.5000 0.5000 [1 per cell]
3 In 0.5000 0.5000 0.0000 [1 per cell]
4 Pb 0.5000 0.0000 0.5000 [1 per cell]

Main lines, in order of rising 2θ (10° ≤ 2θ ≤ 90°):
d_spacing, Rel. int.
5.176, 13
2.855, 100
2.588, 19
2.565, 19
2.298, 17
1.822, 13
1.718, 11
1.711, 11
1.541, 15
1.531, 15
1.428, 12
1.412, 12

Starting from a DFT-relaxed cell (GGA-PBE, Alexandria), the X-ray diffraction stick pattern of LiAs3 was simulated for λ = 1.5418 Å (Cu Kα).

a b c (Å): 3.4682 3.4682 7.5010
angles (deg): 90.00 90.00 120.00
Space group P-6m2 (No. 187)
Symmetry-distinct sites (fractional):
1 Li 0.0000 0.0000 0.0000 [1 per cell]
2 As 0.0000 0.0000 0.5000 [1 per cell]
3 As 0.3333 0.6667 0.2590 [2 per cell]

Main lines, in order of rising 2θ (10° ≤ 2θ ≤ 90°):
d_spacing, Rel. int.
7.501, 44
3.004, 42
2.788, 18
2.344, 100
1.922, 10
1.875, 11
1.734, 26
1.591, 12
1.394, 19
1.273, 18
1.154, 10
1.135, 7

Starting from a DFT-relaxed cell (GGA-PBE, Alexandria), the X-ray diffraction stick pattern of K6BaI8 was simulated for λ = 1.5418 Å (Cu Kα).

a b c (Å): 14.3784 14.3784 14.3784
angles (deg): 90.00 90.00 90.00
Space group Fm-3m (No. 225)
Symmetry-distinct sites (fractional):
1 K 0.0000 0.2500 0.2500 [24 per cell]
2 Ba 0.0000 0.0000 0.0000 [4 per cell]
3 I 0.0000 0.0000 0.2405 [24 per cell]
4 I 0.2500 0.2500 0.2500 [8 per cell]

Main lines, in order of rising 2θ (10° ≤ 2θ ≤ 90°):
d_spacing, Rel. int.
8.301, 15
4.151, 38
3.595, 100
2.542, 77
2.168, 20
2.075, 28
1.797, 13
1.649, 8
1.608, 35
1.467, 25
1.198, 16
1.137, 11

Starting from a DFT-relaxed cell (GGA-PBE, Alexandria), the X-ray diffraction stick pattern of Ac8Ni4Ir was simulated for λ = 1.5418 Å (Cu Kα).

a b c (Å): 18.7292 4.1743 13.6186
angles (deg): 90.00 128.64 90.00
Space group Cm (No. 8)
Symmetry-distinct sites (fractional):
1 Ac 0.0000 0.0000 0.0000 [2 per cell]
2 Ac 0.0020 0.0000 0.5704 [2 per cell]
3 Ac 0.1279 0.0000 0.4053 [2 per cell]
4 Ac 0.1768 0.5000 0.9660 [2 per cell]
5 Ac 0.2287 0.5000 0.7192 [2 per cell]
6 Ac 0.2881 0.0000 0.3102 [2 per cell]
7 Ac 0.3949 0.0000 0.6853 [2 per cell]
8 Ac 0.4042 0.0000 0.1380 [2 per cell]
9 Ni 0.0027 0.5000 0.4149 [2 per cell]
10 Ni 0.0458 0.0000 0.8310 [2 per cell]
11 Ni 0.3576 0.0000 0.8778 [2 per cell]
12 Ni 0.4112 0.5000 0.2952 [2 per cell]
13 Ir 0.2894 0.5000 0.4841 [2 per cell]

Main lines, in order of rising 2θ (10° ≤ 2θ ≤ 90°):
d_spacing, Rel. int.
3.556, 32
3.405, 42
3.376, 46
3.171, 54
3.058, 100
2.969, 23
2.782, 34
2.749, 34
2.738, 23
2.416, 42
2.087, 34
1.723, 26

Starting from a DFT-relaxed cell (GGA-PBE, Alexandria), the X-ray diffraction stick pattern of CaGePdPt was simulated for λ = 1.5418 Å (Cu Kα).

a b c (Å): 4.4196 3.7076 9.7167
angles (deg): 90.00 90.00 90.00
Space group Amm2 (No. 38)
Symmetry-distinct sites (fractional):
1 Ca 0.0000 0.0000 0.0000 [2 per cell]
2 Ge 0.5000 0.0000 0.6179 [2 per cell]
3 Pd 0.5000 0.0000 0.3145 [2 per cell]
4 Pt 0.0000 0.0000 0.7246 [2 per cell]

Main lines, in order of rising 2θ (10° ≤ 2θ ≤ 90°):
d_spacing, Rel. int.
4.858, 70
3.464, 36
2.726, 100
2.439, 44
2.210, 35
2.136, 52
2.129, 47
1.854, 20
1.638, 26
1.420, 17
1.398, 24
1.260, 18

Starting from a DFT-relaxed cell (GGA-PBE, Alexandria), the X-ray diffraction stick pattern of Dy2USe6 was simulated for λ = 1.5418 Å (Cu Kα).

a b c (Å): 6.6509 6.6509 12.4572
angles (deg): 90.00 90.00 90.00
Space group P4_2/mnm (No. 136)
Symmetry-distinct sites (fractional):
1 Dy 0.0000 0.0000 0.1646 [4 per cell]
2 U 0.0000 0.0000 0.5000 [2 per cell]
3 Se 0.1937 0.1937 0.3410 [8 per cell]
4 Se 0.2088 0.2088 0.0000 [4 per cell]

Main lines, in order of rising 2θ (10° ≤ 2θ ≤ 90°):
d_spacing, Rel. int.
4.703, 100
3.522, 44
3.113, 38
2.974, 14
2.418, 92
2.351, 35
2.076, 17
1.956, 48
1.899, 18
1.556, 19
1.504, 13
1.184, 19

Starting from a DFT-relaxed cell (GGA-PBE, Alexandria), the X-ray diffraction stick pattern of Ba3NaTc2O8 was simulated for λ = 1.5418 Å (Cu Kα).

a b c (Å): 5.9370 5.9370 7.8354
angles (deg): 90.00 90.00 120.00
Space group P-3m1 (No. 164)
Symmetry-distinct sites (fractional):
1 Ba 0.0000 0.0000 0.0000 [1 per cell]
2 Ba 0.3333 0.6667 0.6325 [2 per cell]
3 Na 0.0000 0.0000 0.5000 [1 per cell]
4 Tc 0.3333 0.6667 0.1895 [2 per cell]
5 O 0.1733 0.3467 0.3079 [6 per cell]
6 O 0.3333 0.6667 0.9563 [2 per cell]

Main lines, in order of rising 2θ (10° ≤ 2θ ≤ 90°):
d_spacing, Rel. int.
4.299, 24
3.116, 84
2.969, 100
2.329, 18
2.149, 45
1.831, 20
1.741, 31
1.714, 19
1.559, 22
1.484, 16
1.380, 12
1.340, 14

Starting from a DFT-relaxed cell (GGA-PBE, Alexandria), the X-ray diffraction stick pattern of Y3HoTm7 was simulated for λ = 1.5418 Å (Cu Kα).

a b c (Å): 6.9152 5.4570 9.8158
angles (deg): 90.00 109.94 90.00
Space group P2/m (No. 10)
Symmetry-distinct sites (fractional):
1 Y 0.0000 0.0000 0.0000 [1 per cell]
2 Y 0.2775 0.5000 0.4964 [2 per cell]
3 Ho 0.5000 0.0000 0.0000 [1 per cell]
4 Tm 0.0000 0.0000 0.5000 [1 per cell]
5 Tm 0.1502 0.5000 0.7919 [2 per cell]
6 Tm 0.3201 0.5000 0.1406 [2 per cell]
7 Tm 0.4224 0.0000 0.3304 [2 per cell]

Main lines, in order of rising 2θ (10° ≤ 2θ ≤ 90°):
d_spacing, Rel. int.
3.524, 21
3.457, 24
2.806, 25
2.790, 100
2.778, 63
2.751, 16
2.728, 60
2.679, 57
1.832, 17
1.587, 18
1.566, 22
1.460, 25

Starting from a DFT-relaxed cell (GGA-PBE, Alexandria), the X-ray diffraction stick pattern of RuRhO was simulated for λ = 1.5418 Å (Cu Kα).

a b c (Å): 2.7463 7.8955 6.9725
angles (deg): 90.00 90.00 90.00
Space group Pmn2_1 (No. 31)
Symmetry-distinct sites (fractional):
1 Ru 0.0000 0.0990 0.0000 [2 per cell]
2 Ru 0.0000 0.3103 0.3246 [2 per cell]
3 Rh 0.0000 0.6066 0.5230 [2 per cell]
4 Rh 0.0000 0.6541 0.1583 [2 per cell]
5 O 0.0000 0.0682 0.3711 [2 per cell]
6 O 0.0000 0.1667 0.7309 [2 per cell]

Main lines, in order of rising 2θ (10° ≤ 2θ ≤ 90°):
d_spacing, Rel. int.
7.896, 61
2.632, 33
2.555, 40
2.462, 51
2.431, 65
2.254, 69
2.230, 100
2.081, 56
1.893, 78
1.833, 41
1.731, 37
1.180, 32

Starting from a DFT-relaxed cell (GGA-PBE, Alexandria), the X-ray diffraction stick pattern of Tb4TeAu was simulated for λ = 1.5418 Å (Cu Kα).

a b c (Å): 8.4406 3.9638 19.8062
angles (deg): 90.00 90.00 90.00
Space group Pnma (No. 62)
Symmetry-distinct sites (fractional):
1 Tb 0.0135 0.2500 0.2185 [4 per cell]
2 Tb 0.0248 0.2500 0.9277 [4 per cell]
3 Tb 0.1203 0.2500 0.4405 [4 per cell]
4 Tb 0.1616 0.2500 0.6532 [4 per cell]
5 Te 0.2150 0.7500 0.3124 [4 per cell]
6 Au 0.2428 0.2500 0.0491 [4 per cell]

Main lines, in order of rising 2θ (10° ≤ 2θ ≤ 90°):
d_spacing, Rel. int.
2.905, 100
2.889, 45
2.802, 60
2.786, 26
2.647, 78
2.476, 24
2.446, 40
2.334, 29
2.279, 19
1.982, 39
1.548, 30
1.540, 19